Computed X-ray diffraction stick pattern of MgTi2O4 for CuKα, from DFT lattice parameters and positions (PBE).

Cell lengths 2.9167, 6.4683, 8.6240 Å; angles 90.00, 90.00, 90.00 degrees
Space group Amm2 (No. 38)
Inequivalent atoms, fractional coordinates:
Mg  0.0000  0.0000  0.0000 [2 per cell]
Ti  0.0000  0.0000  0.3258 [2 per cell]
Ti  0.5000  0.0000  0.7112 [2 per cell]
O  0.0000  0.1877  0.8097 [4 per cell]
O  0.5000  0.0000  0.1474 [2 per cell]
O  0.5000  0.0000  0.4938 [2 per cell]

Principal peaks in the range 2θ from 10° to 80°, most intense first:
| 2theta | d [Å] | I_rel |
| --- | --- | --- |
| 27.6 | 3.234 | 100 |
| 35.3 | 2.541 | 54 |
| 20.6 | 4.312 | 48 |
| 37.2 | 2.416 | 48 |
| 34.1 | 2.627 | 35 |
| 53.9 | 1.700 | 32 |
| 46.5 | 1.952 | 28 |
| 46.9 | 1.936 | 27 |
| 52.8 | 1.734 | 26 |
| 62.6 | 1.485 | 23 |

***

Computed X-ray diffraction stick pattern of Mg3P2O8 for CuKα, from DFT lattice parameters and positions (PBE).

Cell lengths 8.6116, 9.0929, 9.4192 Å; angles 115.93, 91.39, 114.41 degrees
Space group P-1 (No. 2)
Inequivalent atoms, fractional coordinates:
Mg  0.0157  0.3915  0.3222 [2 per cell]
Mg  0.0935  0.0226  0.7626 [2 per cell]
Mg  0.0986  0.6928  0.1743 [2 per cell]
Mg  0.4032  0.3187  0.3391 [2 per cell]
Mg  0.4221  0.1982  0.6259 [2 per cell]
Mg  0.4828  0.2069  0.9439 [2 per cell]
P  0.1713  0.3210  0.5930 [2 per cell]
P  0.2297  0.9335  0.0495 [2 per cell]
P  0.2641  0.4284  0.0989 [2 per cell]
P  0.3217  0.8104  0.5526 [2 per cell]
O  0.0663  0.2322  0.4163 [2 per cell]
O  0.0905  0.4271  0.7168 [2 per cell]
O  0.1003  0.4440  0.0528 [2 per cell]
O  0.1205  0.9455  0.1805 [2 per cell]
O  0.1227  0.8710  0.8813 [2 per cell]
O  0.1715  0.6398  0.5472 [2 per cell]
O  0.1756  0.1693  0.6269 [2 per cell]
O  0.2536  0.4043  0.2527 [2 per cell]
O  0.2718  0.2637  0.9571 [2 per cell]
O  0.2882  0.7917  0.0430 [2 per cell]
O  0.2953  0.8211  0.3948 [2 per cell]
O  0.3429  0.9977  0.6994 [2 per cell]
O  0.3680  0.4400  0.5957 [2 per cell]
O  0.3934  0.1272  0.1104 [2 per cell]
O  0.4338  0.6108  0.1446 [2 per cell]
O  0.4973  0.8008  0.5696 [2 per cell]

Principal peaks in the range 2θ from 10° to 80°, most intense first:
| 2theta | d [Å] | I_rel |
| --- | --- | --- |
| 27.2 | 3.280 | 100 |
| 32.4 | 2.762 | 86 |
| 33.4 | 2.685 | 45 |
| 32.1 | 2.787 | 44 |
| 30.6 | 2.922 | 27 |
| 23.5 | 3.785 | 27 |
| 29.6 | 3.023 | 27 |
| 23.3 | 3.825 | 20 |
| 21.9 | 4.058 | 19 |
| 31.6 | 2.828 | 19 |